Starting from a cell relaxed with GGA-PBE, the powder XRD pattern of NaCrN was calculated for Cu Kα (weighted mean of Kα1 and Kα2).

Cell and atoms:
a b c (Å): 10.702 3.165 5.878
angles (deg): 90.00 90.00 90.00
Element x y z (fractional)
Na 0.161 0.250 0.116
Na 0.339 0.750 0.616
Na 0.661 0.250 0.384
Na 0.839 0.750 0.884
Cr 0.065 0.250 0.600
Cr 0.435 0.750 0.100
Cr 0.565 0.250 0.900
Cr 0.935 0.750 0.400
N 0.113 0.750 0.469
N 0.387 0.250 0.969
N 0.613 0.750 0.031
N 0.887 0.250 0.531

Peak list (8 most intense, 15 to 90 degrees two-theta, low angle first)
| d (Å) | Position (°2θ) | intensity |
| --- | --- | --- |
| 5.351 | 16.6 | 26 |
| 5.152 | 17.2 | 100 |
| 2.834 | 31.6 | 17 |
| 2.724 | 32.9 | 24 |
| 2.435 | 36.9 | 15 |
| 2.111 | 42.8 | 40 |
| 1.697 | 54.0 | 17 |
| 1.582 | 58.3 | 15 |